[1]
The following is a calculated powder X-ray diffraction pattern of Pm2Nd4Ge3H2. It was derived from a DFT-relaxed cell (PBE, Alexandria), using Cu Kα.

Crystal structure
abc: 4.6828 4.6828 24.4437
angles: 90.00 90.00 90.00
Space group I4/mmm (No. 139)
Symmetry-distinct sites (fractional):
1 Pm 0.0000 0.0000 0.2030 (multiplicity 4)
2 Nd 0.0000 0.5000 0.0807 (multiplicity 8)
3 Ge 0.0000 0.0000 0.3269 (multiplicity 4)
4 Ge 0.0000 0.0000 0.5000 (multiplicity 2)
5 H 0.0000 0.0000 0.1030 (multiplicity 4)

Most intense lines, 2θ = 15–90°, in order of rising 2θ:
- 21.86°, I 21, (0 0 6)
- 27.92°, I 77, (1 1 2)
- 29.23°, I 20, (0 0 8)
- 30.71°, I 29, (1 1 4)
- 31.97°, I 24, (1 0 7)
- 34.92°, I 100, (1 1 6)
- 38.45°, I 64, (2 0 0)
- 49.02°, I 19, (2 0 8)
- 55.50°, I 22, (2 2 0)
- 67.27°, I 29, (3 1 6)

[2]
The following is a calculated powder X-ray diffraction pattern of Tl4Rh5. It was derived from a DFT-relaxed cell (PBE, Alexandria), using Cu Kα.

Crystal structure
abc: 8.7870 8.7870 4.2830
angles: 90.00 90.00 90.00
Space group I4/mmm (No. 139)
Symmetry-distinct sites (fractional):
1 Tl 0.0000 0.3042 0.0000 (multiplicity 8)
2 Rh 0.0000 0.0000 0.0000 (multiplicity 2)
3 Rh 0.1626 0.1626 0.5000 (multiplicity 8)

Most intense lines, 2θ = 15–90°, in order of rising 2θ:
- 28.74°, I 11, (2 2 0)
- 30.88°, I 11, (2 1 1)
- 37.19°, I 100, (3 0 1)
- 42.20°, I 19, (0 0 2)
- 43.71°, I 29, (3 3 0)
- 60.74°, I 9, (5 2 1)
- 62.37°, I 20, (3 3 2)
- 73.84°, I 13, (3 0 3)
- 75.97°, I 17, (6 3 1)
- 79.25°, I 8, (6 0 2)

[3]
The following is a calculated powder X-ray diffraction pattern of CaTb6. It was derived from a DFT-relaxed cell (PBE, Alexandria), using Cu Kα.

Crystal structure
abc: 8.2376 8.2376 8.2376
angles: 90.00 90.00 90.00
Space group Im-3m (No. 229)
Symmetry-distinct sites (fractional):
1 Ca 0.0000 0.0000 0.0000 (multiplicity 2)
2 Tb 0.0000 0.2500 0.5000 (multiplicity 12)

Most intense lines, 2θ = 15–90°, in order of rising 2θ:
- 15.21°, I 100, (1 1 0)
- 21.58°, I 40, (2 0 0)
- 26.50°, I 96, (2 1 1)
- 34.43°, I 28, (3 1 0)
- 37.83°, I 80, (2 2 2)
- 40.99°, I 59, (3 2 1)
- 43.97°, I 47, (4 0 0)
- 57.00°, I 20, (5 1 0)
- 63.93°, I 31, (4 4 0)
- 76.75°, I 31, (6 2 2)

[4]
The following is a calculated powder X-ray diffraction pattern of Ce3In7Rh4. It was derived from a DFT-relaxed cell (PBE, Alexandria), using Cu Kα.

Crystal structure
abc: 4.5876 8.3244 9.3713
angles: 67.81 75.85 74.10
Space group P-1 (No. 2)
Symmetry-distinct sites (fractional):
1 Ce 0.0000 0.0000 0.0000 (multiplicity 1)
2 Ce 0.3079 0.6843 0.6998 (multiplicity 2)
3 In 0.0000 0.5000 0.5000 (multiplicity 1)
4 In 0.1568 0.1095 0.5754 (multiplicity 2)
5 In 0.3100 0.3479 0.0324 (multiplicity 2)
6 In 0.4919 0.7321 0.2845 (multiplicity 2)
7 Rh 0.0997 0.6631 0.1371 (multiplicity 2)
8 Rh 0.3235 0.0663 0.2891 (multiplicity 2)

Most intense lines, 2θ = 15–90°, in order of rising 2θ:
- 27.41°, I 21, (-1 1 1)
- 31.53°, I 100, (1 0 -2)
- 32.72°, I 25, (-1 1 2)
- 33.63°, I 29, (1 -1 2)
- 34.47°, I 60, (1 3 1)
- 34.75°, I 20, (1 0 3)
- 37.46°, I 25, (1 -2 1)
- 37.96°, I 35, (1 3 3)
- 39.04°, I 28, (0 3 3)
- 39.28°, I 71, (2 1 1)

[5]
The following is a calculated powder X-ray diffraction pattern of AcHgPt. It was derived from a DFT-relaxed cell (PBE, Alexandria), using Cu Kα.

Crystal structure
abc: 8.7379 8.7379 4.4279
angles: 90.00 90.00 90.00
Space group P4_2/m (No. 84)
Symmetry-distinct sites (fractional):
1 Ac 0.0876 0.3008 0.0000 (multiplicity 4)
2 Hg 0.3460 0.6152 0.0000 (multiplicity 4)
3 Pt 0.1370 0.5803 0.5000 (multiplicity 4)

Most intense lines, 2θ = 15–90°, in order of rising 2θ:
- 28.71°, I 19, (2 0 1)
- 30.51°, I 66, (1 2 1)
- 32.40°, I 34, (1 3 0)
- 35.43°, I 100, (2 2 1)
- 38.40°, I 32, (3 1 1)
- 40.76°, I 30, (0 0 2)
- 41.33°, I 18, (4 0 0)
- 42.66°, I 15, (4 1 0)
- 53.00°, I 18, (1 3 2)
- 57.68°, I 14, (1 5 1)

[6]
The following is a calculated powder X-ray diffraction pattern of Cs4TmBr6. It was derived from a DFT-relaxed cell (PBE, Alexandria), using Cu Kα.

Crystal structure
abc: 10.2975 10.2975 10.7291
angles: 90.00 90.00 90.00
Space group P4/mnc (No. 128)
Symmetry-distinct sites (fractional):
1 Cs 0.1841 0.3159 0.2500 (multiplicity 8)
2 Tm 0.0000 0.0000 0.0000 (multiplicity 2)
3 Br 0.0000 0.0000 0.2612 (multiplicity 4)
4 Br 0.0713 0.7362 0.0000 (multiplicity 8)

Most intense lines, 2θ = 15–90°, in order of rising 2θ:
- 19.27°, I 18, (2 1 0)
- 23.96°, I 21, (2 0 2)
- 25.49°, I 100, (2 1 2)
- 26.38°, I 21, (1 0 3)
- 27.39°, I 55, (3 1 0)
- 29.65°, I 27, (2 2 2)
- 33.41°, I 35, (0 0 4)
- 35.96°, I 31, (4 1 0)
- 43.72°, I 30, (3 1 4)
- 49.89°, I 24, (4 1 4)

[7]
The following is a calculated powder X-ray diffraction pattern of Bi2TeO. It was derived from a DFT-relaxed cell (PBE, Alexandria), using Cu Kα.

Crystal structure
abc: 5.7259 12.6206 5.5427
angles: 90.00 90.00 90.00
Space group Ama2 (No. 40)
Symmetry-distinct sites (fractional):
1 Bi 0.2500 0.0970 0.0000 (multiplicity 4)
2 Bi 0.2500 0.4024 0.9872 (multiplicity 4)
3 Te 0.2500 0.2501 0.4925 (multiplicity 4)
4 O 0.0000 0.0000 0.7427 (multiplicity 4)

Most intense lines, 2θ = 15–90°, in order of rising 2θ:
- 23.42°, I 9, (1 1 1)
- 30.92°, I 100, (1 3 1)
- 31.24°, I 24, (2 0 0)
- 32.30°, I 22, (0 0 2)
- 45.56°, I 19, (2 0 2)
- 54.10°, I 10, (2 6 0)
- 54.79°, I 9, (0 6 2)
- 55.40°, I 20, (3 3 1)
- 56.75°, I 18, (1 3 3)
- 64.43°, I 10, (2 6 2)

[8]
The following is a calculated powder X-ray diffraction pattern of Li2Tb5In5. It was derived from a DFT-relaxed cell (PBE, Alexandria), using Cu Kα.

Crystal structure
abc: 5.0474 5.0598 14.4439
angles: 90.11 100.05 119.70
Space group P-1 (No. 2)
Symmetry-distinct sites (fractional):
1 Li 0.1431 0.0685 0.2135 (multiplicity 2)
2 Tb 0.0000 0.5000 0.5000 (multiplicity 1)
3 Tb 0.3903 0.6928 0.0846 (multiplicity 2)
4 Tb 0.4476 0.2269 0.6723 (multiplicity 2)
5 In 0.0000 0.0000 0.0000 (multiplicity 1)
6 In 0.1970 0.6011 0.7964 (multiplicity 2)
7 In 0.2827 0.1392 0.4241 (multiplicity 2)

Most intense lines, 2θ = 15–90°, in order of rising 2θ:
- 29.29°, I 48, (1 -1 3)
- 30.88°, I 100, (-1 1 4)
- 34.25°, I 43, (0 1 4)
- 35.36°, I 48, (1 1 -1)
- 35.53°, I 95, (1 -2 0)
- 36.00°, I 13, (0 1 -5)
- 47.62°, I 20, (0 2 3)
- 51.77°, I 16, (0 1 7)
- 60.70°, I 12, (2 1 2)
- 63.91°, I 11, (-3 3 1)

[9]
The following is a calculated powder X-ray diffraction pattern of KNa9Hg3. It was derived from a DFT-relaxed cell (PBE, Alexandria), using Cu Kα.

Crystal structure
abc: 6.3593 16.4299 8.6876
angles: 90.00 110.92 90.00
Space group C2/m (No. 12)
Symmetry-distinct sites (fractional):
1 K 0.0000 0.0000 0.0000 (multiplicity 2)
2 Na 0.0000 0.0000 0.5000 (multiplicity 2)
3 Na 0.0940 0.3880 0.2137 (multiplicity 8)
4 Na 0.1754 0.1783 0.3381 (multiplicity 8)
5 Hg 0.0000 0.5000 0.5000 (multiplicity 2)
6 Hg 0.2500 0.2500 0.0000 (multiplicity 4)

Most intense lines, 2θ = 15–90°, in order of rising 2θ:
- 15.35°, I 100, (0 2 1)
- 15.91°, I 20, (1 1 -1)
- 21.64°, I 24, (0 4 0)
- 21.91°, I 21, (0 0 2)
- 30.98°, I 38, (0 4 2)
- 32.05°, I 30, (2 2 0)
- 32.23°, I 28, (2 2 -2)
- 34.57°, I 20, (0 6 1)
- 34.92°, I 21, (0 2 3)
- 35.71°, I 33, (2 0 1)

[10]
The following is a calculated powder X-ray diffraction pattern of TmNp2Si2Pt7. It was derived from a DFT-relaxed cell (PBE, Alexandria), using Cu Kα.

Crystal structure
abc: 5.7331 5.6673 13.8414
angles: 90.00 98.27 90.00
Space group C2/m (No. 12)
Symmetry-distinct sites (fractional):
1 Tm 0.0000 0.0000 0.0000 (multiplicity 2)
2 Np 0.1136 0.0000 0.3587 (multiplicity 4)
3 Si 0.0898 0.5000 0.2535 (multiplicity 4)
4 Pt 0.0000 0.5000 0.0000 (multiplicity 2)
5 Pt 0.1304 0.5000 0.4262 (multiplicity 4)
6 Pt 0.1940 0.2504 0.8418 (multiplicity 8)

Most intense lines, 2θ = 15–90°, in order of rising 2θ:
- 32.26°, I 33, (0 2 1)
- 32.69°, I 29, (0 0 5)
- 34.25°, I 33, (0 2 2)
- 34.75°, I 60, (2 0 -3)
- 35.97°, I 79, (2 0 2)
- 36.19°, I 25, (1 1 4)
- 37.35°, I 100, (0 2 3)
- 45.03°, I 76, (2 2 -1)
- 45.23°, I 28, (2 2 0)
- 76.71°, I 28, (4 2 -4)